[1]
Structure and calculated XRD peak list of SmMg6Sc5 (a DFT-relaxed cell (GGA-PBE, Alexandria); Cu Kα X-rays).

Largest 10 diffraction maxima, sorted by position, 10° ≤ 2θ ≤ 80°:
2θ = 11.5°, rel. 12
2θ = 13.4°, rel. 16
2θ = 21.1°, rel. 14
2θ = 24.4°, rel. 11
2θ = 24.5°, rel. 22
2θ = 34.8°, rel. 100
2θ = 34.9°, rel. 50
2θ = 50.2°, rel. 17
2θ = 62.4°, rel. 17
2θ = 62.6°, rel. 33

Structural model:
```
SmMg6Sc5
1.0
4.463 -7.707 0.000
4.463 7.707 0.000
-2.952 0.000 4.205
Sm Mg Sc
1 6 5
Direct
0.000 0.000 0.000 Sm
0.086 0.427 0.257 Mg
0.263 0.263 0.763 Mg
0.427 0.086 0.257 Mg
0.573 0.914 0.743 Mg
0.737 0.737 0.237 Mg
0.914 0.573 0.743 Mg
0.164 0.836 0.500 Sc
0.333 0.667 0.000 Sc
0.500 0.500 0.500 Sc
0.667 0.333 0.000 Sc
0.836 0.164 0.500 Sc
```

[2]
Structure and calculated XRD peak list of Sm2Mg2Sc3 (a DFT-relaxed cell (GGA-PBE, Alexandria); Cu Kα X-rays).

Largest 10 diffraction maxima, sorted by position, 10° ≤ 2θ ≤ 80°:
2θ = 11.7°, rel. 13
2θ = 20.8°, rel. 31
2θ = 24.9°, rel. 12
2θ = 27.6°, rel. 18
2θ = 33.8°, rel. 100
2θ = 35.9°, rel. 6
2θ = 40.0°, rel. 6
2θ = 48.5°, rel. 17
2θ = 60.4°, rel. 35
2θ = 71.1°, rel. 10

Structural model:
```
Sm2Mg2Sc3
1.0
2.654 1.532 7.577
-2.654 1.532 7.577
0.000 -3.064 7.577
Sm Mg Sc
2 2 3
Direct
0.217 0.217 0.217 Sm
0.783 0.783 0.783 Sm
0.065 0.065 0.065 Mg
0.935 0.935 0.935 Mg
0.361 0.361 0.361 Sc
0.500 0.500 0.500 Sc
0.639 0.639 0.639 Sc
```

[3]
Structure and calculated XRD peak list of Sm4MgSc (a DFT-relaxed cell (GGA-PBE, Alexandria); Cu Kα X-rays).

Largest 10 diffraction maxima, sorted by position, 10° ≤ 2θ ≤ 80°:
2θ = 12.5°, rel. 17
2θ = 25.6°, rel. 23
2θ = 31.3°, rel. 100
2θ = 35.4°, rel. 36
2θ = 38.1°, rel. 14
2θ = 50.9°, rel. 13
2θ = 52.9°, rel. 22
2θ = 60.9°, rel. 29
2θ = 64.6°, rel. 11
2θ = 65.3°, rel. 11

Structural model:
```
Sm4MgSc
1.0
3.590 0.000 0.000
0.000 3.590 0.000
0.000 0.000 14.176
Sm Mg Sc
4 1 1
Direct
0.000 0.000 0.158 Sm
0.000 0.000 0.842 Sm
0.500 0.500 0.336 Sm
0.500 0.500 0.664 Sm
0.500 0.500 0.000 Mg
0.000 0.000 0.500 Sc
```